[1]
Structure and calculated powder XRD pattern of Ba2SnPb6Au (DFT lattice parameters and positions (PBE); Cu Kα X-rays).

Main lines, by angle (2θ from 15° to 90°):
two_theta  I (rel.)  (hkl)
16.8  19  0 1 5
24.4  49  0 0 12
29.0  67  2 0 5
30.7  100  0 2 7
34.1  29  0 2 10
36.3  38  1 2 2
37.0  20  0 0 18
39.8  32  2 0 14
45.3  20  3 0 9
47.9  40  2 2 0

Structural model:
```
data_Ba2SnPb6Au
_chemical_formula_sum 'Ba12 Sn6 Pb36 Au6'
_space_group_name_H-M_alt 'R -3 m'
_space_group_IT_number 166
_space_group_name_Hall '-R 3 2"'
_cell_length_a 7.6013
_cell_length_b 7.6013
_cell_length_c 43.7843
_cell_angle_alpha 90.00
_cell_angle_beta 90.00
_cell_angle_gamma 120.00
loop_
_atom_site_label
_atom_site_type_symbol
_atom_site_fract_x
_atom_site_fract_y
_atom_site_fract_z
_atom_site_occupancy
Ba1 Ba 0.0000 0.0000 0.1164 1
Ba2 Ba 0.0000 0.0000 0.2873 1
Sn1 Sn 0.0000 0.0000 0.4267 1
Pb1 Pb 0.0431 0.5215 0.2979 1
Pb2 Pb 0.0531 0.5266 0.8665 1
Au1 Au 0.0000 0.0000 0.0000 1
Au2 Au 0.0000 0.0000 0.5000 1
```



[2]
Structure and calculated powder XRD pattern of BaSn2PbAu5 (DFT lattice parameters and positions (PBE); Cu Kα X-rays).

Main lines, by angle (2θ from 15° to 90°):
two_theta  I (rel.)  (hkl)
25.6  26  1 1 1
30.1  32  0 0 3
31.0  66  1 1 2
33.5  100  2 0 0
45.6  42  2 0 3
47.4  21  1 1 4
48.1  37  2 2 0
57.8  21  2 2 3
58.3  22  3 1 2
72.9  20  2 0 6

Structural model:
```
data_BaSn2PbAu5
_chemical_formula_sum 'Ba1 Sn2 Pb1 Au5'
_space_group_name_H-M_alt 'P 4/m m m'
_space_group_IT_number 123
_space_group_name_Hall '-P 4 2'
_cell_length_a 5.351
_cell_length_b 5.351
_cell_length_c 8.912
_cell_angle_alpha 90.00
_cell_angle_beta 90.00
_cell_angle_gamma 90.00
loop_
_atom_site_label
_atom_site_type_symbol
_atom_site_fract_x
_atom_site_fract_y
_atom_site_fract_z
_atom_site_occupancy
Ba1 Ba 0.000 0.000 0.000 1
Sn1 Sn 0.500 0.500 0.298 1
Pb1 Pb 0.000 0.000 0.500 1
Au1 Au 0.000 0.500 0.323 1
Au2 Au 0.500 0.500 0.000 1
```



[3]
Structure and calculated powder XRD pattern of Ba3PdAu3 (DFT lattice parameters and positions (PBE); Cu Kα X-rays).

Main lines, by angle (2θ from 15° to 90°):
two_theta  I (rel.)  (hkl)
20.4  24  1 0 1
28.6  100  1 1 2
29.4  41  1 0 5
32.3  49  1 1 4
35.5  56  0 1 7
37.3  40  0 2 0
37.8  43  1 1 6
40.5  32  2 0 0
55.0  32  2 1 7
56.2  24  2 2 0

Structural model:
```
data_Ba3PdAu3
_chemical_formula_sum 'Ba6 Pd2 Au6'
_space_group_name_H-M_alt 'I m m 2'
_space_group_IT_number 44
_space_group_name_Hall 'I 2 -2'
_cell_length_a 4.451
_cell_length_b 4.827
_cell_length_c 20.752
_cell_angle_alpha 90.00
_cell_angle_beta 90.00
_cell_angle_gamma 90.00
loop_
_atom_site_label
_atom_site_type_symbol
_atom_site_fract_x
_atom_site_fract_y
_atom_site_fract_z
_atom_site_occupancy
Ba1 Ba 0.000 0.000 0.000 1
Ba2 Ba 0.000 0.000 0.365 1
Ba3 Ba 0.000 0.500 0.188 1
Pd1 Pd 0.000 0.500 0.753 1
Au1 Au 0.000 0.000 0.538 1
Au2 Au 0.000 0.000 0.826 1
Au3 Au 0.000 0.500 0.621 1
```



[4]
Structure and calculated powder XRD pattern of Ba2Pd5Au12 (DFT lattice parameters and positions (PBE); Cu Kα X-rays).

Main lines, by angle (2θ from 15° to 90°):
two_theta  I (rel.)  (hkl)
18.3  33  1 1 0
31.9  25  3 0 0
33.3  32  0 2 4
37.0  40  2 2 0
37.4  100  3 0 3
38.5  48  0 0 6
41.9  80  2 2 3
42.9  26  1 1 6
66.7  20  6 0 0
68.9  19  3 0 9

Structural model:
```
data_Ba2Pd5Au12
_chemical_formula_sum 'Ba6 Pd15 Au36'
_space_group_name_H-M_alt 'R -3 m'
_space_group_IT_number 166
_space_group_name_Hall '-R 3 2"'
_cell_length_a 9.7209
_cell_length_b 9.7209
_cell_length_c 14.0290
_cell_angle_alpha 90.00
_cell_angle_beta 90.00
_cell_angle_gamma 120.00
loop_
_atom_site_label
_atom_site_type_symbol
_atom_site_fract_x
_atom_site_fract_y
_atom_site_fract_z
_atom_site_occupancy
Ba1 Ba 0.0000 0.0000 0.1644 1
Pd1 Pd 0.0000 0.0000 0.4019 1
Pd2 Pd 0.0000 0.5000 0.0000 1
Au1 Au 0.0000 0.2955 0.5000 1
Au2 Au 0.0047 0.5024 0.3468 1
```



[5]
Structure and calculated powder XRD pattern of Ba12Pd5Au (DFT lattice parameters and positions (PBE); Cu Kα X-rays).

Main lines, by angle (2θ from 15° to 90°):
two_theta  I (rel.)  (hkl)
23.1  29  2 0 1
24.8  100  1 3 -2
28.1  58  1 3 3
28.5  26  2 0 3
32.6  29  2 0 -4
36.9  42  1 3 5
38.1  24  0 6 0
39.3  60  3 3 -1
42.0  21  1 3 6
62.7  17  0 6 8

Structural model:
```
data_Ba12Pd5Au
_chemical_formula_sum 'Ba24 Pd10 Au2'
_space_group_name_H-M_alt 'C 1 2/m 1'
_space_group_IT_number 12
_space_group_name_Hall '-C 2y'
_cell_length_a 7.973
_cell_length_b 14.186
_cell_length_c 15.185
_cell_angle_alpha 90.00
_cell_angle_beta 90.06
_cell_angle_gamma 90.00
loop_
_atom_site_label
_atom_site_type_symbol
_atom_site_fract_x
_atom_site_fract_y
_atom_site_fract_z
_atom_site_occupancy
Ba1 Ba 0.154 0.000 0.384 1
Ba2 Ba 0.164 0.167 0.114 1
Ba3 Ba 0.164 0.500 0.115 1
Ba4 Ba 0.168 0.329 0.384 1
Pd1 Pd 0.000 0.000 0.000 1
Pd2 Pd 0.000 0.166 0.500 1
Pd3 Pd 0.000 0.334 0.000 1
Au1 Au 0.000 0.500 0.500 1
```



[6]
Structure and calculated powder XRD pattern of Ba2Pd5Au (DFT lattice parameters and positions (PBE); Cu Kα X-rays).

Main lines, by angle (2θ from 15° to 90°):
two_theta  I (rel.)  (hkl)
19.3  28  0 0 2
27.4  97  1 1 2
32.3  46  1 2 1
32.3  31  2 1 1
33.8  100  2 0 2
39.1  51  0 0 4
39.3  87  2 2 0
42.9  68  0 3 1
56.6  65  2 2 4
64.1  24  3 3 2

Structural model:
```
data_Ba2Pd5Au
_chemical_formula_sum 'Ba4 Pd10 Au2'
_space_group_name_H-M_alt 'I m m 2'
_space_group_IT_number 44
_space_group_name_Hall 'I 2 -2'
_cell_length_a 6.486
_cell_length_b 6.497
_cell_length_c 9.214
_cell_angle_alpha 90.00
_cell_angle_beta 90.00
_cell_angle_gamma 90.00
loop_
_atom_site_label
_atom_site_type_symbol
_atom_site_fract_x
_atom_site_fract_y
_atom_site_fract_z
_atom_site_occupancy
Ba1 Ba 0.000 0.000 0.000 1
Ba2 Ba 0.000 0.000 0.500 1
Pd1 Pd 0.000 0.500 0.469 1
Pd2 Pd 0.209 0.291 0.248 1
Au1 Au 0.000 0.500 0.764 1
```



[7]
Structure and calculated powder XRD pattern of Ba3PdAu (DFT lattice parameters and positions (PBE); Cu Kα X-rays).

Main lines, by angle (2θ from 15° to 90°):
two_theta  I (rel.)  (hkl)
19.0  41  2 2 0
27.1  100  3 1 -1
28.7  41  3 3 0
31.2  24  1 3 1
33.9  41  4 2 1
35.4  24  5 1 1
37.1  27  0 4 1
37.2  20  6 2 0
40.2  26  0 0 2
68.5  24  0 8 1

Structural model:
```
data_Ba3PdAu
_chemical_formula_sum 'Ba12 Pd4 Au4'
_space_group_name_H-M_alt 'C 1 2 1'
_space_group_IT_number 5
_space_group_name_Hall 'C 2y'
_cell_length_a 15.955
_cell_length_b 11.518
_cell_length_c 4.488
_cell_angle_alpha 90.00
_cell_angle_beta 90.01
_cell_angle_gamma 90.00
loop_
_atom_site_label
_atom_site_type_symbol
_atom_site_fract_x
_atom_site_fract_y
_atom_site_fract_z
_atom_site_occupancy
Ba1 Ba 0.123 0.000 0.001 1
Ba2 Ba 0.125 0.648 0.998 1
Ba3 Ba 0.149 0.318 0.500 1
Pd1 Pd 0.249 0.570 0.499 1
Au1 Au 0.000 0.248 0.000 1
Au2 Au 0.000 0.821 0.500 1
```



[8]
Structure and calculated powder XRD pattern of Ba2PdAu3 (DFT lattice parameters and positions (PBE); Cu Kα X-rays).

Main lines, by angle (2θ from 15° to 90°):
two_theta  I (rel.)  (hkl)
20.6  20  1 0 0
29.8  100  1 1 1
37.4  67  0 2 0
42.0  16  2 0 0
43.1  19  1 2 0
48.6  26  1 0 4
57.5  38  2 2 0
62.8  24  1 3 1
67.5  12  0 3 3
82.7  14  2 3 3

Structural model:
```
data_Ba2PdAu3
_chemical_formula_sum 'Ba2 Pd1 Au3'
_space_group_name_H-M_alt 'P m m 2'
_space_group_IT_number 25
_space_group_name_Hall 'P 2 -2'
_cell_length_a 4.305
_cell_length_b 4.806
_cell_length_c 8.338
_cell_angle_alpha 90.00
_cell_angle_beta 90.00
_cell_angle_gamma 90.00
loop_
_atom_site_label
_atom_site_type_symbol
_atom_site_fract_x
_atom_site_fract_y
_atom_site_fract_z
_atom_site_occupancy
Ba1 Ba 0.000 0.000 0.000 1
Ba2 Ba 0.000 0.500 0.486 1
Pd1 Pd 0.500 0.000 0.323 1
Au1 Au 0.500 0.000 0.650 1
Au2 Au 0.500 0.500 0.165 1
Au3 Au 0.500 0.500 0.827 1
```



[9]
Structure and calculated powder XRD pattern of Ba8PdAu2 (DFT lattice parameters and positions (PBE); Cu Kα X-rays).

Main lines, by angle (2θ from 15° to 90°):
two_theta  I (rel.)  (hkl)
24.1  55  3 1 1
25.9  100  2 0 2
26.7  83  5 1 -1
27.6  48  1 1 -2
28.8  48  3 1 -2
29.1  47  6 0 1
31.5  96  0 2 0
32.1  68  5 1 -2
33.0  46  8 0 0
39.4  46  1 1 3

Structural model:
```
data_Ba8PdAu2
_chemical_formula_sum 'Ba16 Pd2 Au4'
_space_group_name_H-M_alt 'C 1 2/m 1'
_space_group_IT_number 12
_space_group_name_Hall '-C 2y'
_cell_length_a 22.108
_cell_length_b 5.677
_cell_length_c 7.852
_cell_angle_alpha 90.00
_cell_angle_beta 100.75
_cell_angle_gamma 90.00
loop_
_atom_site_label
_atom_site_type_symbol
_atom_site_fract_x
_atom_site_fract_y
_atom_site_fract_z
_atom_site_occupancy
Ba1 Ba 0.047 0.000 0.312 1
Ba2 Ba 0.083 0.500 0.893 1
Ba3 Ba 0.166 0.500 0.461 1
Ba4 Ba 0.214 0.000 0.840 1
Pd1 Pd 0.000 0.500 0.500 1
Au1 Au 0.201 0.000 0.251 1
```



[10]
Structure and calculated powder XRD pattern of BaPdAu11 (DFT lattice parameters and positions (PBE); Cu Kα X-rays).

Main lines, by angle (2θ from 15° to 90°):
two_theta  I (rel.)  (hkl)
31.6  16  2 0 -1
31.8  22  1 3 1
36.5  41  2 2 0
37.2  34  2 2 -2
37.5  100  0 4 2
37.6  20  1 5 -1
40.7  26  2 0 1
41.7  57  2 4 -1
42.4  31  0 6 1
66.4  18  2 6 2

Structural model:
```
data_BaPdAu11
_chemical_formula_sum 'Ba2 Pd2 Au22'
_space_group_name_H-M_alt 'C 1 2/m 1'
_space_group_IT_number 12
_space_group_name_Hall '-C 2y'
_cell_length_a 5.660
_cell_length_b 13.468
_cell_length_c 7.337
_cell_angle_alpha 90.00
_cell_angle_beta 110.89
_cell_angle_gamma 90.00
loop_
_atom_site_label
_atom_site_type_symbol
_atom_site_fract_x
_atom_site_fract_y
_atom_site_fract_z
_atom_site_occupancy
Ba1 Ba 0.000 0.000 0.000 1
Pd1 Pd 0.000 0.000 0.500 1
Au1 Au 0.000 0.500 0.500 1
Au2 Au 0.110 0.390 0.223 1
Au3 Au 0.153 0.175 0.355 1
Au4 Au 0.250 0.250 0.000 1
```